(1)
This entry pairs a crystal structure of Li4Fe3CuO8 with its computed powder X-ray diffraction pattern. Radiation: a wavelength of 1.5418 Å. Structure: DFT lattice parameters and positions (PBE+U).
Intensities are scaled so that the largest is 100.

Principal peaks in the range 10 to 90 degrees two-theta, by angle:
two_theta, I (rel.)
18.1, 100.0
35.5, 44.8
37.1, 14.9
43.0, 79.7
47.0, 15.9
56.7, 14.2
62.2, 21.9
62.6, 22.0
65.8, 14.9
79.0, 10.0

Structure:
```
data_Li4Fe3CuO8
_cell_length_a 5.972
_cell_length_b 5.972
_cell_length_c 5.972
_cell_angle_alpha 59.56
_cell_angle_beta 59.56
_cell_angle_gamma 59.56
_symmetry_space_group_name_H-M 'P 1'
_symmetry_Int_Tables_number 1
loop_
_symmetry_equiv_pos_as_xyz
'x,y,z'
loop_
_atom_site_label
_atom_site_fract_x
_atom_site_fract_y
_atom_site_fract_z
Li1 0.000 0.000 0.000
Li2 0.000 0.500 0.500
Li3 0.500 0.000 0.500
Li4 0.500 0.500 0.000
Fe1 0.000 0.000 0.500
Fe2 0.000 0.500 0.000
Fe3 0.500 0.000 0.000
Cu1 0.500 0.500 0.500
O1 0.242 0.744 0.744
O2 0.243 0.243 0.243
O3 0.256 0.256 0.758
O4 0.256 0.758 0.256
O5 0.744 0.242 0.744
O6 0.744 0.744 0.242
O7 0.757 0.757 0.757
O8 0.758 0.256 0.256
```

(2)
This entry pairs a crystal structure of Li2FeCuO4 with its computed powder X-ray diffraction pattern. Radiation: a wavelength of 1.5418 Å. Structure: DFT lattice parameters and positions (PBE+U).
Intensities are scaled so that the largest is 100.

Principal peaks in the range 10 to 90 degrees two-theta, by angle:
two_theta, I (rel.)
24.0, 100.0
37.5, 21.4
38.7, 16.5
42.8, 24.7
43.9, 48.3
50.7, 23.8
63.0, 26.5
63.9, 13.3
76.4, 14.9
79.9, 11.9

Structure:
```
data_Li2FeCuO4
_cell_length_a 5.136
_cell_length_b 5.136
_cell_length_c 5.136
_cell_angle_alpha 132.67
_cell_angle_beta 132.67
_cell_angle_gamma 69.17
_symmetry_space_group_name_H-M 'P 1'
_symmetry_Int_Tables_number 1
loop_
_symmetry_equiv_pos_as_xyz
'x,y,z'
loop_
_atom_site_label
_atom_site_fract_x
_atom_site_fract_y
_atom_site_fract_z
Li1 0.000 0.000 0.000
Li2 0.750 0.250 0.500
Fe1 0.250 0.750 0.500
Cu1 0.500 0.500 0.000
O1 0.014 0.514 0.500
O2 0.271 0.271 0.000
O3 0.486 0.986 0.500
O4 0.729 0.729 0.000
```

(3)
This entry pairs a crystal structure of Li3Fe2Cu2O8 with its computed powder X-ray diffraction pattern. Radiation: a wavelength of 1.5418 Å. Structure: DFT lattice parameters and positions (PBE+U).
Intensities are scaled so that the largest is 100.

Principal peaks in the range 10 to 90 degrees two-theta, by angle:
two_theta, I (rel.)
18.3, 41.7
18.7, 100.0
33.3, 21.3
37.1, 17.3
37.4, 16.6
37.6, 9.3
37.8, 14.2
39.0, 37.0
46.1, 51.7
62.3, 9.1

Structure:
```
data_Li3Fe2Cu2O8
_cell_length_a 5.533
_cell_length_b 5.616
_cell_length_c 6.021
_cell_angle_alpha 116.71
_cell_angle_beta 117.16
_cell_angle_gamma 90.05
_symmetry_space_group_name_H-M 'P 1'
_symmetry_Int_Tables_number 1
loop_
_symmetry_equiv_pos_as_xyz
'x,y,z'
loop_
_atom_site_label
_atom_site_fract_x
_atom_site_fract_y
_atom_site_fract_z
Li1 0.000 0.000 0.000
Li2 0.000 0.500 0.500
Li3 0.500 0.000 0.000
Fe1 0.000 0.500 0.000
Fe2 0.500 0.500 0.000
Cu1 0.500 0.000 0.500
Cu2 0.500 0.500 0.500
O1 0.230 0.704 0.414
O2 0.233 0.718 0.966
O3 0.242 0.262 0.983
O4 0.315 0.297 0.586
O5 0.685 0.703 0.414
O6 0.758 0.738 0.017
O7 0.767 0.282 0.034
O8 0.770 0.296 0.586
```

(4)
This entry pairs a crystal structure of Li4Fe3CuP4O16 with its computed powder X-ray diffraction pattern. Radiation: a wavelength of 1.5418 Å. Structure: DFT lattice parameters and positions (PBE+U).
Intensities are scaled so that the largest is 100.

Principal peaks in the range 10 to 90 degrees two-theta, by angle:
two_theta, I (rel.)
17.2, 46.4
20.4, 47.5
20.7, 34.1
25.1, 61.2
25.4, 58.2
29.3, 100.0
35.1, 63.9
35.7, 64.5
37.8, 30.1
60.8, 28.2

Structure:
```
data_Li4Fe3CuP4O16
_cell_length_a 4.757
_cell_length_b 6.098
_cell_length_c 10.336
_cell_angle_alpha 90.00
_cell_angle_beta 91.13
_cell_angle_gamma 90.00
_symmetry_space_group_name_H-M 'P 1'
_symmetry_Int_Tables_number 1
loop_
_symmetry_equiv_pos_as_xyz
'x,y,z'
loop_
_atom_site_label
_atom_site_fract_x
_atom_site_fract_y
_atom_site_fract_z
Li1 0.000 0.249 0.000
Li2 0.000 0.751 0.000
Li3 0.504 0.250 0.506
Li4 0.504 0.750 0.506
Fe1 0.027 0.500 0.284
Fe2 0.528 0.000 0.221
Fe3 0.982 0.000 0.722
Cu1 0.452 0.500 0.788
P1 0.087 0.000 0.407
P2 0.422 0.000 0.908
P3 0.577 0.500 0.093
P4 0.917 0.500 0.601
O1 0.215 0.000 0.546
O2 0.218 0.203 0.336
O3 0.218 0.797 0.336
O4 0.245 0.500 0.609
O5 0.255 0.500 0.096
O6 0.284 0.200 0.835
O7 0.284 0.800 0.835
O8 0.295 0.000 0.046
O9 0.690 0.500 0.951
O10 0.716 0.298 0.163
O11 0.716 0.702 0.163
O12 0.743 0.000 0.908
O13 0.764 0.000 0.404
O14 0.787 0.294 0.666
O15 0.787 0.706 0.666
O16 0.803 0.500 0.459
```

(5)
This entry pairs a crystal structure of Li6Fe3CuP6O24 with its computed powder X-ray diffraction pattern. Radiation: a wavelength of 1.5418 Å. Structure: DFT lattice parameters and positions (PBE+U).
Intensities are scaled so that the largest is 100.

Principal peaks in the range 10 to 90 degrees two-theta, by angle:
two_theta, I (rel.)
14.4, 31.5
20.2, 50.8
20.7, 61.4
20.9, 28.9
24.0, 100.0
24.1, 48.9
29.2, 31.4
32.9, 32.9
33.1, 20.7
35.4, 41.8

Structure:
```
data_Li6Fe3CuP6O24
_cell_length_a 8.525
_cell_length_b 8.576
_cell_length_c 8.586
_cell_angle_alpha 61.71
_cell_angle_beta 61.81
_cell_angle_gamma 61.81
_symmetry_space_group_name_H-M 'P 1'
_symmetry_Int_Tables_number 1
loop_
_symmetry_equiv_pos_as_xyz
'x,y,z'
loop_
_atom_site_label
_atom_site_fract_x
_atom_site_fract_y
_atom_site_fract_z
Li1 0.000 0.000 0.000
Li2 0.091 0.514 0.868
Li3 0.270 0.854 0.643
Li4 0.465 0.700 0.309
Li5 0.720 0.358 0.145
Li6 0.907 0.071 0.498
Fe1 0.391 0.997 0.787
Fe2 0.599 0.215 0.005
Fe3 0.892 0.498 0.299
Cu1 0.098 0.703 0.503
P1 0.198 0.100 0.190
P2 0.296 0.602 0.104
P3 0.494 0.396 0.607
P4 0.698 0.903 0.399
P5 0.792 0.813 0.901
P6 0.994 0.307 0.700
O1 0.005 0.253 0.233
O2 0.048 0.466 0.679
O3 0.135 0.534 0.151
O4 0.152 0.114 0.716
O5 0.199 0.931 0.378
O6 0.212 0.052 0.032
O7 0.277 0.650 0.267
O8 0.285 0.774 0.924
O9 0.327 0.586 0.602
O10 0.368 0.153 0.140
O11 0.439 0.234 0.642
O12 0.490 0.449 0.072
O13 0.509 0.915 0.559
O14 0.558 0.357 0.764
O15 0.617 0.859 0.858
O16 0.645 0.430 0.409
O17 0.689 0.090 0.232
O18 0.740 0.740 0.338
O19 0.775 0.967 0.958
O20 0.822 0.615 0.051
O21 0.841 0.278 0.896
O22 0.861 0.880 0.452
O23 0.930 0.349 0.541
O24 0.977 0.803 0.729
```

Which formula does entry 3 have?
Li3Fe2Cu2O8

Repeat the third record exactly.
This entry pairs a crystal structure of Li3Fe2Cu2O8 with its computed powder X-ray diffraction pattern. Radiation: a wavelength of 1.5418 Å. Structure: DFT lattice parameters and positions (PBE+U).
Intensities are scaled so that the largest is 100.

Principal peaks in the range 10 to 90 degrees two-theta, by angle:
two_theta, I (rel.)
18.3, 41.7
18.7, 100.0
33.3, 21.3
37.1, 17.3
37.4, 16.6
37.6, 9.3
37.8, 14.2
39.0, 37.0
46.1, 51.7
62.3, 9.1

Structure:
```
data_Li3Fe2Cu2O8
_cell_length_a 5.533
_cell_length_b 5.616
_cell_length_c 6.021
_cell_angle_alpha 116.71
_cell_angle_beta 117.16
_cell_angle_gamma 90.05
_symmetry_space_group_name_H-M 'P 1'
_symmetry_Int_Tables_number 1
loop_
_symmetry_equiv_pos_as_xyz
'x,y,z'
loop_
_atom_site_label
_atom_site_fract_x
_atom_site_fract_y
_atom_site_fract_z
Li1 0.000 0.000 0.000
Li2 0.000 0.500 0.500
Li3 0.500 0.000 0.000
Fe1 0.000 0.500 0.000
Fe2 0.500 0.500 0.000
Cu1 0.500 0.000 0.500
Cu2 0.500 0.500 0.500
O1 0.230 0.704 0.414
O2 0.233 0.718 0.966
O3 0.242 0.262 0.983
O4 0.315 0.297 0.586
O5 0.685 0.703 0.414
O6 0.758 0.738 0.017
O7 0.767 0.282 0.034
O8 0.770 0.296 0.586
```